Simulated powder XRD pattern
Compound: Na2La2Ti3O10
Radiation: Cu Kα (λ = 1.5418 Å)
Structure: a crystal structure in the Materials Project, relaxed with PBE

Structure:
```
Na2La2Ti3O10
1.0
-1.936 1.936 14.439
1.936 -1.936 14.439
1.936 1.936 -14.439
Na La Ti O
2 2 3 10
Direct
0.212 0.212 0.000
0.788 0.788 0.000
0.075 0.075 0.000
0.925 0.925 0.000
0.352 0.352 0.000
0.500 0.500 0.000
0.648 0.648 0.000
0.000 0.500 0.500
0.133 0.633 0.500
0.291 0.291 0.000
0.367 0.867 0.500
0.433 0.433 0.000
0.500 0.000 0.500
0.567 0.567 0.000
0.633 0.133 0.500
0.709 0.709 0.000
0.867 0.367 0.500
```

Largest 10 diffraction maxima, sorted by position, 2θ = 5–70°:
2θ/deg	Rel. int.
6.1	100
27.7	24
31.7	60
32.7	34
37.8	13
41.4	15
46.9	24
55.8	13
57.7	22
66.2	13

=====

Simulated powder XRD pattern
Compound: NaLaS2
Radiation: Cu Kα (λ = 1.5418 Å)
Structure: a crystal structure in the Materials Project, relaxed with PBE

Structure:
```
NaLaS2
1.0
5.800 0.000 0.000
0.000 5.800 0.000
0.000 0.000 12.269
Na La S
4 4 8
Direct
0.000 0.250 0.375
0.000 0.750 0.625
0.500 0.250 0.125
0.500 0.750 0.875
0.000 0.250 0.875
0.000 0.750 0.125
0.500 0.250 0.625
0.500 0.750 0.375
0.000 0.250 0.110
0.000 0.250 0.640
0.000 0.750 0.360
0.000 0.750 0.890
0.500 0.250 0.390
0.500 0.250 0.860
0.500 0.750 0.140
0.500 0.750 0.610
```

Largest 10 diffraction maxima, sorted by position, 2θ = 5–70°:
2θ/deg	Rel. int.
16.9	100
26.1	44
26.7	20
29.1	48
30.8	86
35.4	32
39.9	16
42.9	64
44.2	31
53.8	32

=====

Simulated powder XRD pattern
Compound: NaLaS2
Radiation: Cu Kα (λ = 1.5418 Å)
Structure: a crystal structure in the Materials Project, relaxed with PBE

Structure:
```
NaLaS2
1.0
4.236 0.000 0.000
-2.118 3.669 0.000
0.000 0.000 19.853
Na La S
3 3 6
Direct
0.000 0.000 0.000
0.333 0.667 0.667
0.667 0.333 0.333
0.000 0.000 0.500
0.333 0.667 0.167
0.667 0.333 0.833
0.000 0.000 0.245
0.000 0.000 0.755
0.333 0.667 0.422
0.333 0.667 0.912
0.667 0.333 0.088
0.667 0.333 0.578
```

Largest 10 diffraction maxima, sorted by position, 2θ = 5–70°:
2θ/deg	Rel. int.
13.4	62
24.7	39
25.9	24
30.3	100
33.2	15
40.2	14
42.7	38
44.1	34
44.9	18
53.2	19